Starting from a cell relaxed with GGA-PBE, the powder X-ray diffraction pattern of AlPO4 was calculated for Cu Kα (weighted mean of Kα1 and Kα2).
No peak broadening, texture or thermal motion is included.

Structural model:
Cell lengths 5.1291, 5.1291, 7.1656 Å; angles 90.00, 90.00, 90.13 degrees
Fractional coordinates of all 12 atoms:
Al1 0.2055 0.2055 0.0000
Al2 0.7945 0.7945 0.5000
P1 0.2955 0.7045 0.7500
P2 0.7045 0.2955 0.2500
O1 0.1126 0.7610 0.5849
O2 0.2390 0.8874 0.9151
O3 0.2581 0.4212 0.8146
O4 0.4212 0.2581 0.1854
O5 0.5788 0.7419 0.6854
O6 0.7419 0.5788 0.3146
O7 0.7610 0.1126 0.4151
O8 0.8874 0.2390 0.0849

Top 10 peaks for 2θ from 10° to 90°, sorted by position:
| two_theta | d (Å) | I/Imax |
| --- | --- | --- |
| 21.30 | 4.171 | 100 |
| 27.56 | 3.237 | 8 |
| 30.43 | 2.937 | 10 |
| 34.99 | 2.565 | 14 |
| 35.21 | 2.549 | 6 |
| 43.39 | 2.085 | 3 |
| 45.47 | 1.995 | 5 |
| 47.04 | 1.932 | 6 |
| 55.23 | 1.663 | 5 |
| 62.90 | 1.478 | 4 |